Computed X-ray diffraction stick pattern of Re2Si for copper Kα, from DFT lattice parameters and positions (GGA-PBE).
Neutral-atom scattering factors, no anomalous dispersion.

Main lines, sorted by position (2θ = 10–90°):
- (0 0 1), 13.65 deg, I 49
- (1 1 -1), 33.83 deg, I 27
- (1 1 -2), 40.29 deg, I 100
- (2 0 2), 41.27 deg, I 34
- (4 0 -2), 41.79 deg, I 62
- (3 1 0), 45.20 deg, I 71

Structure:
```
data_Re2Si
_symmetry_space_group_name_H-M 'C 1 2/m 1'
_symmetry_Int_Tables_number 12
_symmetry_space_group_name_Hall '-C 2y'
_cell_length_a 8.9824
_cell_length_b 2.9077
_cell_length_c 7.0111
_cell_angle_alpha 90.00
_cell_angle_beta 112.25
_cell_angle_gamma 90.00
loop_
_atom_site_label
_atom_site_type_symbol
_atom_site_fract_x
_atom_site_fract_y
_atom_site_fract_z
Re1 Re 0.0101 0.0000 0.2893
Re2 Re 0.1514 0.5000 0.0546
Si1 Si 0.1847 0.5000 0.6095
```



Computed X-ray diffraction stick pattern of Re2Si for copper Kα, from DFT lattice parameters and positions (GGA-PBE).
Neutral-atom scattering factors, no anomalous dispersion.

Main lines, sorted by position (2θ = 10–90°):
- (1 1 0), 21.22 deg, I 12
- (0 0 2), 37.90 deg, I 19
- (2 1 1), 38.94 deg, I 100
- (3 1 0), 48.62 deg, I 18
- (2 1 3), 69.14 deg, I 19
- (3 3 2), 79.69 deg, I 11

Structure:
```
data_Re2Si
_symmetry_space_group_name_H-M 'I 4/m c m'
_symmetry_Int_Tables_number 140
_symmetry_space_group_name_Hall '-I 4 2c'
_cell_length_a 5.9219
_cell_length_b 5.9219
_cell_length_c 4.7481
_cell_angle_alpha 90.00
_cell_angle_beta 90.00
_cell_angle_gamma 90.00
loop_
_atom_site_label
_atom_site_type_symbol
_atom_site_fract_x
_atom_site_fract_y
_atom_site_fract_z
Re1 Re 0.1522 0.3478 0.0000
Si1 Si 0.0000 0.0000 0.2500
```